(1)
The following is a computed powder X-ray diffraction pattern of MoAs. It was derived from DFT lattice parameters and positions (PBE), using Cu Kα (λ = 1.5418 Å).
No peak broadening, texture or thermal motion is included.

Largest 12 diffraction maxima, most intense first, 2θ from 10° to 80°:
- 36.32 deg, I = 100
- 45.01 deg, I = 52
- 58.95 deg, I = 24
- 77.30 deg, I = 19
- 45.25 deg, I = 16
- 71.24 deg, I = 13
- 71.80 deg, I = 11
- 77.12 deg, I = 10
- 11.04 deg, I = 6
- 22.18 deg, I = 3
- 50.73 deg, I = 3
- 64.17 deg, I = 2

Crystal structure
Unit cell a=8.2167 b=8.2167 c=8.2167 alpha=21.99 beta=21.99 gamma=21.99
Fractional positions:
1 Mo 0.1224 0.1224 0.1224
2 Mo 0.8776 0.8776 0.8776
3 As 0.3812 0.3812 0.3812
4 As 0.6188 0.6188 0.6188


(2)
The following is a computed powder X-ray diffraction pattern of MoAs. It was derived from DFT lattice parameters and positions (PBE), using Cu Kα (λ = 1.5418 Å).
No peak broadening, texture or thermal motion is included.

Largest 12 diffraction maxima, most intense first, 2θ from 10° to 80°:
- 32.18 deg, I = 100
- 34.70 deg, I = 85
- 44.02 deg, I = 73
- 45.34 deg, I = 66
- 40.03 deg, I = 51
- 46.30 deg, I = 46
- 42.74 deg, I = 46
- 33.13 deg, I = 33
- 41.98 deg, I = 32
- 58.46 deg, I = 31
- 75.99 deg, I = 28
- 16.92 deg, I = 23

Crystal structure
Unit cell a=3.1571 b=11.5129 c=5.8829 alpha=90.00 beta=90.00 gamma=90.00
Fractional positions:
1 Mo 0.2500 0.1182 0.0073
2 Mo 0.2500 0.3818 0.0073
3 Mo 0.2500 0.7500 0.7083
4 Mo 0.7500 0.2500 0.2917
5 Mo 0.7500 0.6182 0.9927
6 Mo 0.7500 0.8818 0.9927
7 As 0.2500 0.2500 0.6544
8 As 0.2500 0.5295 0.6933
9 As 0.2500 0.9705 0.6933
10 As 0.7500 0.0295 0.3067
11 As 0.7500 0.4705 0.3067
12 As 0.7500 0.7500 0.3456


(3)
The following is a computed powder X-ray diffraction pattern of MoAs. It was derived from DFT lattice parameters and positions (PBE), using Cu Kα (λ = 1.5418 Å).
No peak broadening, texture or thermal motion is included.

Largest 12 diffraction maxima, most intense first, 2θ from 10° to 80°:
- 42.46 deg, I = 100
- 41.48 deg, I = 78
- 33.36 deg, I = 61
- 40.96 deg, I = 46
- 29.80 deg, I = 36
- 44.83 deg, I = 35
- 31.50 deg, I = 35
- 47.26 deg, I = 31
- 54.13 deg, I = 30
- 50.35 deg, I = 27
- 39.96 deg, I = 25
- 70.06 deg, I = 18

Crystal structure
Unit cell a=6.0468 b=3.3885 c=6.4350 alpha=90.00 beta=90.00 gamma=90.00
Fractional positions:
1 Mo 0.0142 0.2500 0.1836
2 Mo 0.4858 0.7500 0.6836
3 Mo 0.5142 0.2500 0.3164
4 Mo 0.9858 0.7500 0.8164
5 As 0.1881 0.2500 0.5684
6 As 0.3119 0.7500 0.0684
7 As 0.6881 0.2500 0.9316
8 As 0.8119 0.7500 0.4316


(4)
The following is a computed powder X-ray diffraction pattern of Ni5Mo12As18. It was derived from DFT lattice parameters and positions (PBE), using Cu Kα (λ = 1.5418 Å).
No peak broadening, texture or thermal motion is included.

Largest 12 diffraction maxima, most intense first, 2θ from 10° to 80°:
- 43.73 deg, I = 100
- 42.87 deg, I = 83
- 50.86 deg, I = 80
- 34.07 deg, I = 77
- 33.55 deg, I = 76
- 42.67 deg, I = 57
- 54.72 deg, I = 52
- 30.10 deg, I = 47
- 40.89 deg, I = 41
- 32.49 deg, I = 37
- 31.37 deg, I = 32
- 40.73 deg, I = 27

Crystal structure
Unit cell a=6.7911 b=6.7911 c=26.4251 alpha=103.34 beta=103.34 gamma=28.60
Fractional positions:
1 Ni 0.0000 0.0000 0.0000
2 Ni 0.3248 0.3248 0.3336
3 Ni 0.3339 0.3339 0.8288
4 Ni 0.6661 0.6661 0.1712
5 Ni 0.6752 0.6752 0.6664
6 Mo 0.1068 0.1068 0.2932
7 Mo 0.1216 0.1216 0.7908
8 Mo 0.2186 0.2186 0.0429
9 Mo 0.2200 0.2200 0.5386
10 Mo 0.4501 0.4501 0.1268
11 Mo 0.4554 0.4554 0.6195
12 Mo 0.5446 0.5446 0.3805
13 Mo 0.5499 0.5499 0.8732
14 Mo 0.7800 0.7800 0.4614
15 Mo 0.7814 0.7814 0.9571
16 Mo 0.8784 0.8784 0.2092
17 Mo 0.8932 0.8932 0.7068
18 As 0.0583 0.0583 0.1918
19 As 0.0925 0.0925 0.6006
20 As 0.1290 0.1290 0.9473
21 As 0.1965 0.1965 0.3880
22 As 0.2583 0.2583 0.7306
23 As 0.2687 0.2687 0.1441
24 As 0.4048 0.4048 0.5163
25 As 0.4163 0.4163 0.9340
26 As 0.4561 0.4561 0.2837
27 As 0.5439 0.5439 0.7163
28 As 0.5837 0.5837 0.0660
29 As 0.5952 0.5952 0.4837
30 As 0.7313 0.7313 0.8559
31 As 0.7417 0.7417 0.2694
32 As 0.8035 0.8035 0.6120
33 As 0.8710 0.8710 0.0527
34 As 0.9075 0.9075 0.3994
35 As 0.9417 0.9417 0.8082